1.
La2CePt9: simulated X-ray diffraction stick pattern (a wavelength of 1.5418 Å), based on DFT lattice parameters and positions (PBE).
Intensities are scaled so that the largest is 100.

Peak list (10 most intense, 2θ from 5° to 70°, sorted by position)
2theta  intensity  hkl
19.02  29  1 0 1
32.75  19  1 1 0
38.15  31  0 2 1
38.48  100  1 1 6
39.89  30  0 0 12
41.29  20  0 1 11
41.61  48  2 0 5
44.86  19  0 2 7
62.29  25  0 3 6
68.64  28  2 2 0

Crystal structure
Lattice parameters (Å, degrees): 5.4691 5.4691 27.1178 90.00 90.00 120.00
Space group R-3m (No. 166, hexagonal axes)
Symmetry-distinct sites (fractional):
La 0.0000 0.0000 0.1391 [6 per cell]
Ce 0.0000 0.0000 0.0000 [3 per cell]
Pt 0.0000 0.0000 0.3326 [6 per cell]
Pt 0.0000 0.0000 0.5000 [3 per cell]
Pt 0.0024 0.5012 0.9162 [18 per cell]


2.
LaCeSi2Pt2: simulated X-ray diffraction stick pattern (a wavelength of 1.5418 Å), based on DFT lattice parameters and positions (PBE).
Intensities are scaled so that the largest is 100.

Peak list (10 most intense, 2θ from 5° to 70°, sorted by position)
2theta  intensity  hkl
26.53  54  0 1 1
32.54  100  1 0 2
40.82  18  0 1 3
42.62  50  1 1 0
43.61  15  0 0 4
50.91  10  2 0 1
54.63  23  0 2 2
60.49  6  2 0 3
62.62  31  1 1 4
68.50  8  1 2 1

Crystal structure
Lattice parameters (Å, degrees): 4.2427 4.2427 8.3020 90.00 90.00 120.00
Space group P-3m1 (No. 164)
Symmetry-distinct sites (fractional):
La 0.0000 0.0000 0.0000 [1 per cell]
Ce 0.0000 0.0000 0.5000 [1 per cell]
Si 0.3333 0.6667 0.7344 [2 per cell]
Pt 0.3333 0.6667 0.2563 [2 per cell]


3.
LaCe3Pu: simulated X-ray diffraction stick pattern (a wavelength of 1.5418 Å), based on DFT lattice parameters and positions (PBE).
Intensities are scaled so that the largest is 100.

Peak list (10 most intense, 2θ from 5° to 70°, sorted by position)
2theta  intensity  hkl
14.95  42  0 0 1
17.80  50  1 1 0
29.50  94  2 0 1
30.15  38  0 0 2
35.23  56  1 1 2
36.06  100  2 2 0
47.69  43  2 2 2
51.30  39  3 1 2
51.91  36  4 0 0
53.15  41  2 0 3

Crystal structure
Lattice parameters (Å, degrees): 7.0465 7.0447 5.9276 90.00 90.00 90.00
Space group Pma2 (No. 28)
Symmetry-distinct sites (fractional):
La 0.2500 0.2495 0.0000 [2 per cell]
Ce 0.0000 0.0000 0.4418 [2 per cell]
Ce 0.0000 0.5000 0.4415 [2 per cell]
Ce 0.2500 0.7493 0.8926 [2 per cell]
Pu 0.2500 0.7500 0.3160 [2 per cell]


4.
Rb2LaCeSe4: simulated X-ray diffraction stick pattern (a wavelength of 1.5418 Å), based on DFT lattice parameters and positions (PBE).
Intensities are scaled so that the largest is 100.

Peak list (10 most intense, 2θ from 5° to 70°, sorted by position)
2theta  intensity  hkl
11.09  20  0 0 1
27.52  100  1 1 1
35.07  9  1 1 2
38.07  33  2 0 2
40.54  37  0 2 0
48.00  6  2 0 3
49.70  19  2 2 -2
56.82  10  4 0 -4
62.52  11  0 2 4
66.00  16  1 3 1

Crystal structure
Lattice parameters (Å, degrees): 7.7070 4.4511 8.3845 90.00 107.83 90.00
Space group P2/m (No. 10)
Symmetry-distinct sites (fractional):
Rb 0.0000 0.0000 0.0000 [1 per cell]
Rb 0.5000 0.5000 0.0000 [1 per cell]
La 0.0000 0.5000 0.5000 [1 per cell]
Ce 0.5000 0.0000 0.5000 [1 per cell]
Se 0.2364 0.0000 0.7010 [2 per cell]
Se 0.2697 0.5000 0.3003 [2 per cell]


5.
La6CeRh4: simulated X-ray diffraction stick pattern (a wavelength of 1.5418 Å), based on DFT lattice parameters and positions (PBE).
Intensities are scaled so that the largest is 100.

Peak list (10 most intense, 2θ from 5° to 70°, sorted by position)
2theta  intensity  hkl
29.90  60  2 0 -1
31.04  69  0 2 0
31.66  41  2 0 0
31.89  39  2 0 -2
31.99  100  0 0 3
32.57  35  0 2 -2
35.59  36  0 2 1
38.27  42  0 2 -3
41.53  51  2 -2 0
44.06  51  2 2 -2

Crystal structure
Lattice parameters (Å, degrees): 5.9885 5.9973 9.1497 103.99 107.61 93.19
Space group P1 (No. 1)
Symmetry-distinct sites (fractional):
La 0.0000 0.0000 0.0000 [1 per cell]
La 0.0221 0.4282 0.3586 [1 per cell]
La 0.2076 0.0397 0.6451 [1 per cell]
La 0.5434 0.9485 0.3300 [1 per cell]
La 0.6030 0.4755 0.0034 [1 per cell]
La 0.6477 0.5750 0.6285 [1 per cell]
Ce 0.0994 0.4766 0.9631 [1 per cell]
Rh 0.0225 0.8676 0.2777 [1 per cell]
Rh 0.1856 0.5699 0.7124 [1 per cell]
Rh 0.4623 0.4249 0.2782 [1 per cell]
Rh 0.7366 0.1231 0.6948 [1 per cell]


6.
La3Ce2Ru3: simulated X-ray diffraction stick pattern (a wavelength of 1.5418 Å), based on DFT lattice parameters and positions (PBE).
Intensities are scaled so that the largest is 100.

Peak list (10 most intense, 2θ from 5° to 70°, sorted by position)
2theta  intensity  hkl
29.62  100  1 3 0
30.24  81  1 3 1
31.71  91  1 1 4
34.90  97  1 3 3
36.56  34  0 0 6
38.06  73  2 0 0
39.21  31  0 4 4
47.73  22  1 3 6
53.80  22  2 0 6
55.80  22  2 4 4

Crystal structure
Lattice parameters (Å, degrees): 4.7285 11.7505 14.7457 90.00 90.00 90.00
Space group Cmcm (No. 63)
Symmetry-distinct sites (fractional):
La 0.0000 0.0466 0.1151 [8 per cell]
La 0.0000 0.3520 0.2500 [4 per cell]
Ce 0.0000 0.2627 0.5850 [8 per cell]
Ru 0.0000 0.3266 0.7500 [4 per cell]
Ru 0.0000 0.3844 0.0454 [8 per cell]


7.
LaCe2Ru: simulated X-ray diffraction stick pattern (a wavelength of 1.5418 Å), based on DFT lattice parameters and positions (PBE).
Intensities are scaled so that the largest is 100.

Peak list (10 most intense, 2θ from 5° to 70°, sorted by position)
2theta  intensity  hkl
9.00  43  0 0 1
29.60  36  0 1 2
29.76  37  1 1 1
29.96  62  2 0 0
32.23  100  1 1 -2
32.76  28  1 0 3
34.29  42  1 1 2
40.92  26  2 1 -2
47.55  28  0 2 0
53.24  20  3 1 -2

Crystal structure
Lattice parameters (Å, degrees): 6.0102 3.8246 9.8961 90.00 96.98 90.00
Space group P2_1 (No. 4)
Symmetry-distinct sites (fractional):
La 0.2428 0.0000 0.4575 [2 per cell]
Ce 0.1772 0.4987 0.1315 [2 per cell]
Ce 0.3003 0.4988 0.7726 [2 per cell]
Ru 0.3160 0.9984 0.9643 [2 per cell]


8.
LaCeSn2Ru2: simulated X-ray diffraction stick pattern (a wavelength of 1.5418 Å), based on DFT lattice parameters and positions (PBE).
Intensities are scaled so that the largest is 100.

Peak list (10 most intense, 2θ from 5° to 70°, sorted by position)
2theta  intensity  hkl
28.09  47  1 1 1
29.74  88  3 1 0
30.97  36  4 0 0
31.87  100  3 1 -1
35.76  40  2 0 -2
36.02  30  0 0 2
37.44  80  0 2 0
37.65  53  3 1 1
42.72  49  2 0 2
63.96  33  5 1 -3

Crystal structure
Lattice parameters (Å, degrees): 11.8757 4.8035 5.1268 90.00 103.44 90.00
Space group Cm (No. 8)
Symmetry-distinct sites (fractional):
La 0.0000 0.0000 0.0000 [2 per cell]
Ce 0.2696 0.0000 0.6548 [2 per cell]
Sn 0.0389 0.5000 0.5136 [2 per cell]
Sn 0.2118 0.5000 0.1392 [2 per cell]
Ru 0.3146 0.0000 0.1285 [2 per cell]
Ru 0.4308 0.5000 0.4616 [2 per cell]


9.
LaCe4S6: simulated X-ray diffraction stick pattern (a wavelength of 1.5418 Å), based on DFT lattice parameters and positions (PBE).
Intensities are scaled so that the largest is 100.

Peak list (10 most intense, 2θ from 5° to 70°, sorted by position)
2theta  intensity  hkl
24.87  28  1 1 2
25.76  100  0 2 5
26.78  79  0 4 0
30.41  39  1 3 1
31.38  89  1 3 2
32.95  59  1 3 3
42.89  60  1 1 8
44.61  62  0 6 4
45.37  32  2 0 0
52.92  36  2 2 5

Crystal structure
Lattice parameters (Å, degrees): 3.9975 13.3184 20.2300 90.00 90.00 90.00
Space group Cmcm (No. 63)
Symmetry-distinct sites (fractional):
La 0.0000 0.1588 0.2500 [4 per cell]
Ce 0.0000 0.0913 0.6266 [8 per cell]
Ce 0.0000 0.3621 0.5404 [8 per cell]
S 0.0000 0.0000 0.0000 [4 per cell]
S 0.0000 0.1868 0.7500 [4 per cell]
S 0.0000 0.2686 0.0906 [8 per cell]
S 0.0000 0.4513 0.6674 [8 per cell]


10.
LaCeS3: simulated X-ray diffraction stick pattern (a wavelength of 1.5418 Å), based on DFT lattice parameters and positions (PBE).
Intensities are scaled so that the largest is 100.

Peak list (10 most intense, 2θ from 5° to 70°, sorted by position)
2theta  intensity  hkl
23.93  100  0 1 2
26.00  33  0 2 0
27.29  53  1 1 1
35.63  66  1 2 1
37.56  18  1 0 3
39.88  27  1 1 3
44.23  18  2 0 0
46.25  19  1 2 3
46.66  18  1 0 4
50.91  19  2 1 2

Crystal structure
Lattice parameters (Å, degrees): 4.0956 6.8537 8.8547 90.00 90.00 90.00
Space group Pmmn (No. 59, origin choice 2)
Symmetry-distinct sites (fractional):
La 0.2500 0.2500 0.1488 [2 per cell]
Ce 0.2500 0.7500 0.3978 [2 per cell]
S 0.2500 0.5209 0.6694 [4 per cell]
S 0.2500 0.7500 0.0693 [2 per cell]


11.
LaCe6S12: simulated X-ray diffraction stick pattern (a wavelength of 1.5418 Å), based on DFT lattice parameters and positions (PBE).
Intensities are scaled so that the largest is 100.

Peak list (10 most intense, 2θ from 5° to 70°, sorted by position)
2theta  intensity  hkl
23.22  100  2 1 1
23.66  30  0 0 3
27.00  21  3 -2 2
38.27  46  1 4 0
38.84  41  2 1 4
45.24  16  6 -4 1
45.49  24  1 4 3
45.99  13  3 -2 5
55.67  10  6 -4 4
69.57  10  3 5 4

Crystal structure
Lattice parameters (Å, degrees): 12.4453 12.4453 11.2798 90.00 90.00 120.00
Space group R-3 (No. 148, hexagonal axes)
Symmetry-distinct sites (fractional):
La 0.0000 0.0000 0.0000 [3 per cell]
Ce 0.0474 0.2626 0.6477 [18 per cell]
S 0.0357 0.2183 0.3953 [18 per cell]
S 0.0456 0.2218 0.8903 [18 per cell]


12.
La2TbCeS4: simulated X-ray diffraction stick pattern (a wavelength of 1.5418 Å), based on DFT lattice parameters and positions (PBE).
Intensities are scaled so that the largest is 100.

Peak list (10 most intense, 2θ from 5° to 70°, sorted by position)
2theta  intensity  hkl
26.73  19  0 0 2
26.83  18  2 0 0
26.93  36  1 1 -1
31.11  100  1 1 1
44.38  12  2 0 2
44.50  24  1 1 -3
44.63  24  3 1 -1
52.79  15  3 1 1
52.94  12  0 2 2
55.52  12  2 2 -2

Crystal structure
Lattice parameters (Å, degrees): 7.0408 4.0480 7.0674 90.00 109.28 90.00
Space group P2/m (No. 10)
Symmetry-distinct sites (fractional):
La 0.0000 0.0000 0.0000 [1 per cell]
La 0.5000 0.5000 0.0000 [1 per cell]
Tb 0.0000 0.5000 0.5000 [1 per cell]
Ce 0.5000 0.0000 0.5000 [1 per cell]
S 0.2406 0.0000 0.7347 [2 per cell]
S 0.2497 0.5000 0.2623 [2 per cell]


13.
La3Tb2CeS6: simulated X-ray diffraction stick pattern (a wavelength of 1.5418 Å), based on DFT lattice parameters and positions (PBE).
Intensities are scaled so that the largest is 100.

Peak list (10 most intense, 2θ from 5° to 70°, sorted by position)
2theta  intensity  hkl
26.77  19  0 0 2
26.96  55  2 0 0
31.18  100  1 3 1
44.51  24  1 3 -3
44.61  12  2 0 2
44.79  36  0 6 0
52.92  12  0 6 2
53.05  15  3 3 1
55.54  13  2 6 -2
65.02  12  2 6 2

Crystal structure
Lattice parameters (Å, degrees): 7.0032 12.1495 7.0635 90.00 109.44 90.00
Space group C2/m (No. 12)
Symmetry-distinct sites (fractional):
La 0.0000 0.0000 0.0000 [2 per cell]
La 0.0000 0.3343 0.0000 [4 per cell]
Tb 0.0000 0.1669 0.5000 [4 per cell]
Ce 0.0000 0.5000 0.5000 [2 per cell]
S 0.2397 0.0000 0.7340 [4 per cell]
S 0.2474 0.3309 0.7350 [8 per cell]